Starting from a cell relaxed with PBE+U, the powder diffractogram of K6Co2O5 was simulated for copper Kα.

Structural model:
a = 6.8570 Å, b = 11.3107 Å, c = 6.5344 Å
α = 90.00°, β = 93.32°, γ = 90.00°
Space group Cm (No. 8)
Unique sites:
K: 0.0000 0.0000 0.0000 (multiplicity 2)
K: 0.1406 0.2946 0.8014 (multiplicity 4)
K: 0.1485 0.2626 0.3114 (multiplicity 4)
K: 0.2901 0.0000 0.6384 (multiplicity 2)
Co: 0.3440 0.5000 0.5107 (multiplicity 2)
Co: 0.4300 0.0000 0.1372 (multiplicity 2)
O: 0.0754 0.5000 0.4005 (multiplicity 2)
O: 0.3473 0.1421 0.0322 (multiplicity 4)
O: 0.4480 0.3565 0.5765 (multiplicity 4)

Top 10 peaks for 10 to 90 degrees two-theta, by intensity:
| index | Position (°2θ) | I (rel.) |
| --- | --- | --- |
| 0 4 0 | 31.66 | 100 |
| 2 2 0 | 30.53 | 65 |
| 1 1 -1 | 19.87 | 47 |
| 1 1 -2 | 30.70 | 41 |
| 2 0 2 | 39.24 | 25 |
| 1 3 2 | 39.36 | 25 |
| 2 0 -2 | 36.95 | 24 |
| 2 2 1 | 34.18 | 22 |
| 3 1 -1 | 41.95 | 20 |
| 1 5 -2 | 50.44 | 15 |